# NbMoN2
Computed powder diffractogram, Cu Kα (weighted mean of Kα1 and Kα2). Input: a PBE-relaxed structure.
Kinematic intensities with the Lorentz-polarization factor, no thermal factor.

Peak list (10 most intense, 2θ = 10–90°, most intense first)
- (1 0 1), 2θ = 35.98°, 2.496 Å, I = 100
- (0 1 5), 2θ = 44.43°, 2.039 Å, I = 85
- (0 0 6), 2θ = 30.97°, 2.887 Å, I = 64
- (1 0 7), 2θ = 51.75°, 1.766 Å, I = 55
- (0 1 2), 2θ = 37.13°, 2.422 Å, I = 46
- (1 1 0), 2θ = 63.93°, 1.456 Å, I = 37
- (1 1 6), 2θ = 72.73°, 1.300 Å, I = 34
- (1 0 4), 2θ = 41.43°, 2.180 Å, I = 26
- (0 1 11), 2θ = 70.50°, 1.336 Å, I = 15
- (2 0 5), 2θ = 81.16°, 1.185 Å, I = 13

Crystal structure
```
data_NbMoN2
_chemical_formula_sum 'Nb3 Mo3 N6'
_space_group_name_H-M_alt 'R 3 m'
_space_group_IT_number 160
_space_group_name_Hall 'R 3 -2"'
_cell_length_a 2.9125
_cell_length_b 2.9125
_cell_length_c 17.3226
_cell_angle_alpha 90.00
_cell_angle_beta 90.00
_cell_angle_gamma 120.00
loop_
_atom_site_label
_atom_site_type_symbol
_atom_site_fract_x
_atom_site_fract_y
_atom_site_fract_z
_atom_site_occupancy
Nb1 Nb 0.0000 0.0000 0.0000 1
Mo1 Mo 0.0000 0.0000 0.8332 1
N1 N 0.0000 0.0000 0.4225 1
N2 N 0.0000 0.0000 0.5775 1
```


# In2Pd5Au2
Computed powder diffractogram, Cu Kα (weighted mean of Kα1 and Kα2). Input: a PBE-relaxed structure.
Kinematic intensities with the Lorentz-polarization factor, no thermal factor.

Peak list (10 most intense, 2θ = 10–90°, most intense first)
- (3 1 1), 2θ = 38.92°, 2.314 Å, I = 100
- (0 1 3), 2θ = 39.07°, 2.305 Å, I = 73
- (0 2 0), 2θ = 39.34°, 2.290 Å, I = 36
- (0 3 3), 2θ = 71.10°, 1.326 Å, I = 24
- (3 2 2), 2θ = 56.49°, 1.629 Å, I = 22
- (0 0 6), 2θ = 70.60°, 1.334 Å, I = 17
- (6 1 3), 2θ = 79.16°, 1.210 Å, I = 16
- (3 0 4), 2θ = 56.22°, 1.636 Å, I = 12
- (3 2 4), 2θ = 70.77°, 1.331 Å, I = 12
- (6 2 0), 2θ = 79.33°, 1.208 Å, I = 9

Crystal structure
```
data_In2Pd5Au2
_chemical_formula_sum 'In4 Pd10 Au4'
_space_group_name_H-M_alt 'A m m 2'
_space_group_IT_number 38
_space_group_name_Hall 'A 2 -2'
_cell_length_a 8.5285
_cell_length_b 4.5809
_cell_length_c 8.0032
_cell_angle_alpha 90.00
_cell_angle_beta 90.00
_cell_angle_gamma 90.00
loop_
_atom_site_label
_atom_site_type_symbol
_atom_site_fract_x
_atom_site_fract_y
_atom_site_fract_z
_atom_site_occupancy
In1 In 0.1886 0.0000 0.0000 1
Pd1 Pd 0.1663 0.0000 0.6676 1
Pd2 Pd 0.3357 0.0000 0.3336 1
Pd3 Pd 0.5000 0.0000 0.0002 1
Au1 Au 0.0000 0.0000 0.3337 1
Au2 Au 0.5000 0.0000 0.6678 1
```


# AcZn3Hg
Computed powder diffractogram, Cu Kα (weighted mean of Kα1 and Kα2). Input: a PBE-relaxed structure.
Kinematic intensities with the Lorentz-polarization factor, no thermal factor.

Peak list (10 most intense, 2θ = 10–90°, most intense first)
- (2 0 0), 2θ = 32.24°, 2.777 Å, I = 100
- (2 2 -1), 2θ = 39.55°, 2.278 Å, I = 97
- (1 1 1), 2θ = 31.42°, 2.847 Å, I = 76
- (1 1 -2), 2θ = 31.56°, 2.835 Å, I = 76
- (0 2 0), 2θ = 27.68°, 3.222 Å, I = 74
- (1 3 1), 2θ = 51.32°, 1.780 Å, I = 40
- (2 0 -2), 2θ = 32.39°, 2.764 Å, I = 33
- (1 1 2), 2θ = 46.08°, 1.970 Å, I = 30
- (1 1 -3), 2θ = 46.24°, 1.963 Å, I = 29
- (3 1 1), 2θ = 62.24°, 1.492 Å, I = 24

Crystal structure
```
data_AcZn3Hg
_chemical_formula_sum 'Ac2 Zn6 Hg2'
_space_group_name_H-M_alt 'C 1 m 1'
_space_group_IT_number 8
_space_group_name_Hall 'C -2y'
_cell_length_a 6.4373
_cell_length_b 6.4516
_cell_length_c 6.3128
_cell_angle_alpha 90.00
_cell_angle_beta 120.31
_cell_angle_gamma 90.00
loop_
_atom_site_label
_atom_site_type_symbol
_atom_site_fract_x
_atom_site_fract_y
_atom_site_fract_z
_atom_site_occupancy
Ac1 Ac 0.0000 0.0000 0.0000 1
Zn1 Zn 0.0141 0.2491 0.5277 1
Zn2 Zn 0.3742 0.0000 0.7482 1
Hg1 Hg 0.1213 0.5000 0.2422 1
```


# PaPtBr
Computed powder diffractogram, Cu Kα (weighted mean of Kα1 and Kα2). Input: a PBE-relaxed structure.
Kinematic intensities with the Lorentz-polarization factor, no thermal factor.

Peak list (10 most intense, 2θ = 10–90°, most intense first)
- (1 1 1), 2θ = 32.02°, 2.795 Å, I = 100
- (0 0 1), 2θ = 12.29°, 7.203 Å, I = 85
- (2 1 -1), 2θ = 40.53°, 2.226 Å, I = 56
- (0 1 1), 2θ = 23.64°, 3.763 Å, I = 41
- (1 0 -2), 2θ = 26.07°, 3.418 Å, I = 40
- (1 1 -3), 2θ = 42.10°, 2.146 Å, I = 39
- (2 1 0), 2θ = 41.90°, 2.156 Å, I = 34
- (0 2 0), 2θ = 40.90°, 2.207 Å, I = 31
- (2 0 -2), 2θ = 37.73°, 2.384 Å, I = 29
- (2 2 -2), 2θ = 56.85°, 1.619 Å, I = 18

Crystal structure
```
data_PaPtBr
_chemical_formula_sum 'Pa2 Pt2 Br2'
_space_group_name_H-M_alt 'P 1 21/m 1'
_space_group_IT_number 11
_space_group_name_Hall '-P 2yb'
_cell_length_a 5.1629
_cell_length_b 4.4133
_cell_length_c 7.5233
_cell_angle_alpha 90.00
_cell_angle_beta 106.79
_cell_angle_gamma 90.00
loop_
_atom_site_label
_atom_site_type_symbol
_atom_site_fract_x
_atom_site_fract_y
_atom_site_fract_z
_atom_site_occupancy
Pa1 Pa 0.0700 0.2500 0.3108 1
Pt1 Pt 0.3302 0.7500 0.5157 1
Br1 Br 0.2283 0.2500 0.9450 1
```


# SrSmZn2Pd2
Computed powder diffractogram, Cu Kα (weighted mean of Kα1 and Kα2). Input: a PBE-relaxed structure.
Kinematic intensities with the Lorentz-polarization factor, no thermal factor.

Peak list (10 most intense, 2θ = 10–90°, most intense first)
- (0 1 2), 2θ = 32.17°, 2.783 Å, I = 100
- (1 1 0), 2θ = 40.53°, 2.226 Å, I = 57
- (2 0 2), 2θ = 52.66°, 1.738 Å, I = 24
- (1 1 4), 2θ = 62.22°, 1.492 Å, I = 22
- (1 2 2), 2θ = 68.49°, 1.370 Å, I = 22
- (0 0 1), 2θ = 11.00°, 8.043 Å, I = 20
- (0 0 4), 2θ = 45.09°, 2.011 Å, I = 10
- (3 0 0), 2θ = 73.73°, 1.285 Å, I = 9
- (1 0 3), 2θ = 41.01°, 2.201 Å, I = 8
- (1 1 5), 2θ = 72.50°, 1.304 Å, I = 7

Crystal structure
```
data_SrSmZn2Pd2
_chemical_formula_sum 'Sr1 Sm1 Zn2 Pd2'
_space_group_name_H-M_alt 'P -3 m 1'
_space_group_IT_number 164
_space_group_name_Hall '-P 3 2"'
_cell_length_a 4.4513
_cell_length_b 4.4513
_cell_length_c 8.0427
_cell_angle_alpha 90.00
_cell_angle_beta 90.00
_cell_angle_gamma 120.00
loop_
_atom_site_label
_atom_site_type_symbol
_atom_site_fract_x
_atom_site_fract_y
_atom_site_fract_z
_atom_site_occupancy
Sr1 Sr 0.0000 0.0000 0.0000 1
Sm1 Sm 0.0000 0.0000 0.5000 1
Zn1 Zn 0.3333 0.6667 0.2743 1
Pd1 Pd 0.3333 0.6667 0.7171 1
```


# ZnAg3Au
Computed powder diffractogram, Cu Kα (weighted mean of Kα1 and Kα2). Input: a PBE-relaxed structure.
Kinematic intensities with the Lorentz-polarization factor, no thermal factor.

Peak list (10 most intense, 2θ = 10–90°, most intense first)
- (1 1 -2), 2θ = 38.08°, 2.363 Å, I = 100
- (5 1 0), 2θ = 37.95°, 2.371 Å, I = 98
- (4 0 2), 2θ = 42.77°, 2.114 Å, I = 36
- (0 2 0), 2θ = 44.29°, 2.045 Å, I = 33
- (6 0 -2), 2θ = 45.46°, 1.995 Å, I = 26
- (4 2 2), 2θ = 63.26°, 1.470 Å, I = 22
- (6 2 -2), 2θ = 65.34°, 1.428 Å, I = 17
- (3 1 4), 2θ = 75.29°, 1.262 Å, I = 13
- (9 1 2), 2θ = 75.05°, 1.266 Å, I = 12
- (1 3 -2), 2θ = 77.37°, 1.233 Å, I = 12

Crystal structure
```
data_ZnAg3Au
_chemical_formula_sum 'Zn4 Ag12 Au4'
_space_group_name_H-M_alt 'C 1 2/m 1'
_space_group_IT_number 12
_space_group_name_Hall '-C 2y'
_cell_length_a 14.6912
_cell_length_b 4.0901
_cell_length_c 5.8003
_cell_angle_alpha 90.00
_cell_angle_beta 98.05
_cell_angle_gamma 90.00
loop_
_atom_site_label
_atom_site_type_symbol
_atom_site_fract_x
_atom_site_fract_y
_atom_site_fract_z
_atom_site_occupancy
Zn1 Zn 0.1958 0.0000 0.3337 1
Ag1 Ag 0.0007 0.0000 0.2566 1
Ag2 Ag 0.0990 0.5000 0.0360 1
Ag3 Ag 0.2045 0.0000 0.8419 1
Au1 Au 0.1137 0.5000 0.5372 1
```


# Li2In4Ag5
Computed powder diffractogram, Cu Kα (weighted mean of Kα1 and Kα2). Input: a PBE-relaxed structure.
Kinematic intensities with the Lorentz-polarization factor, no thermal factor.

Peak list (10 most intense, 2θ = 10–90°, most intense first)
- (1 2 1), 2θ = 37.35°, 2.407 Å, I = 100
- (1 1 2), 2θ = 26.76°, 3.331 Å, I = 55
- (1 0 7), 2θ = 38.32°, 2.349 Å, I = 55
- (1 0 1), 2θ = 20.22°, 4.391 Å, I = 55
- (2 0 0), 2θ = 39.98°, 2.255 Å, I = 44
- (0 0 6), 2θ = 27.80°, 3.209 Å, I = 35
- (1 2 5), 2θ = 44.11°, 2.053 Å, I = 30
- (0 2 6), 2θ = 42.17°, 2.143 Å, I = 27
- (1 2 7), 2θ = 50.13°, 1.820 Å, I = 25
- (1 2 13), 2θ = 75.14°, 1.264 Å, I = 22

Crystal structure
```
data_Li2In4Ag5
_chemical_formula_sum 'Li4 In8 Ag10'
_space_group_name_H-M_alt 'I m m m'
_space_group_IT_number 71
_space_group_name_Hall '-I 2 2'
_cell_length_a 4.5097
_cell_length_b 5.7575
_cell_length_c 19.2581
_cell_angle_alpha 90.00
_cell_angle_beta 90.00
_cell_angle_gamma 90.00
loop_
_atom_site_label
_atom_site_type_symbol
_atom_site_fract_x
_atom_site_fract_y
_atom_site_fract_z
_atom_site_occupancy
Li1 Li 0.0000 0.0000 0.0755 1
In1 In 0.0000 0.0000 0.2243 1
In2 In 0.0000 0.2590 0.5000 1
Ag1 Ag 0.0000 0.2527 0.3506 1
Ag2 Ag 0.0000 0.5000 0.0000 1
```


# CsCeGe
Computed powder diffractogram, Cu Kα (weighted mean of Kα1 and Kα2). Input: a PBE-relaxed structure.
Kinematic intensities with the Lorentz-polarization factor, no thermal factor.

Peak list (10 most intense, 2θ = 10–90°, most intense first)
- (1 1 1), 2θ = 23.30°, 3.818 Å, I = 100
- (1 1 -2), 2θ = 24.03°, 3.703 Å, I = 76
- (3 1 -1), 2θ = 36.39°, 2.469 Å, I = 54
- (2 0 -4), 2θ = 29.27°, 3.051 Å, I = 52
- (1 1 3), 2θ = 30.54°, 2.927 Å, I = 51
- (2 0 -2), 2θ = 21.97°, 4.046 Å, I = 34
- (0 2 0), 2θ = 38.65°, 2.329 Å, I = 33
- (2 0 1), 2θ = 23.11°, 3.849 Å, I = 33
- (1 1 6), 2θ = 46.81°, 1.941 Å, I = 30
- (1 1 -5), 2θ = 36.96°, 2.432 Å, I = 30

Crystal structure
```
data_CsCeGe
_chemical_formula_sum 'Cs4 Ce4 Ge4'
_space_group_name_H-M_alt 'C 1 2/m 1'
_space_group_IT_number 12
_space_group_name_Hall '-C 2y'
_cell_length_a 8.7337
_cell_length_b 4.6587
_cell_length_c 14.3462
_cell_angle_alpha 90.00
_cell_angle_beta 102.61
_cell_angle_gamma 90.00
loop_
_atom_site_label
_atom_site_type_symbol
_atom_site_fract_x
_atom_site_fract_y
_atom_site_fract_z
_atom_site_occupancy
Cs1 Cs 0.0922 0.0000 0.3181 1
Ce1 Ce 0.1448 0.5000 0.0691 1
Ge1 Ge 0.1464 0.5000 0.8600 1
```